Cs7RbAu4: computed X-ray diffraction stick pattern (a wavelength of 1.5418 Å), based on DFT lattice parameters and positions (PBE).
No peak broadening, texture or thermal motion is included.

Atomic structure:
```
12
Lattice="4.969 0.000 0.000 0.000 9.452 0.000 0.000 0.000 16.326" Properties=species:S:1:pos:R:3 pbc="T T T"
Cs 0.000 0.000 0.000
Cs 0.000 2.324 4.144
Cs 0.000 2.324 12.183
Cs 0.000 4.726 8.163
Cs 0.000 7.128 4.144
Cs 0.000 7.128 12.183
Cs 2.485 4.726 0.000
Rb 2.485 0.000 8.163
Au 2.485 0.000 2.706
Au 2.485 0.000 13.620
Au 2.485 4.726 5.418
Au 2.485 4.726 10.908
```

Most intense lines, 10° ≤ 2θ ≤ 90°, in order of rising 2θ:
Position (°2θ)	I_rel	h k l
10.82	42	0 0 2
18.80	37	0 2 0
21.74	18	0 0 4
26.04	100	1 1 3
28.27	46	1 2 2
37.65	38	1 3 3
38.14	36	0 4 0
53.56	27	2 4 0